For Tl2TeMoO6, a PBE+U-relaxed structure gives the calculated powder diffraction line list in this record (Cu Kα, 1.54184 Å).

The 10 most intense peaks (15 to 90 degrees two-theta), in order of rising 2θ:
| d [Å] | 2θ (°) | I/Imax |
| --- | --- | --- |
| 3.351 | 26.6 | 45 |
| 3.081 | 29.0 | 46 |
| 3.054 | 29.2 | 100 |
| 2.258 | 39.9 | 27 |
| 2.169 | 41.6 | 19 |
| 1.815 | 50.3 | 14 |
| 1.768 | 51.7 | 19 |
| 1.763 | 51.9 | 20 |
| 1.685 | 54.4 | 18 |
| 1.527 | 60.6 | 18 |

Structural model:
Cell lengths 10.703, 10.703, 10.703 Å; angles 33.16, 33.16, 33.16 degrees
Fractional positions:
1 Tl 0.126 0.126 0.126
2 Tl 0.274 0.274 0.274
3 Tl 0.726 0.726 0.726
4 Tl 0.874 0.874 0.874
5 Te 0.000 0.000 0.000
6 Te 0.500 0.500 0.500
7 Mo 0.404 0.404 0.404
8 Mo 0.596 0.596 0.596
9 O 0.166 0.591 0.591
10 O 0.214 0.214 0.692
11 O 0.214 0.692 0.214
12 O 0.308 0.786 0.786
13 O 0.409 0.409 0.834
14 O 0.409 0.834 0.409
15 O 0.591 0.166 0.591
16 O 0.591 0.591 0.166
17 O 0.692 0.214 0.214
18 O 0.786 0.308 0.786
19 O 0.786 0.786 0.308
20 O 0.834 0.409 0.409